Computed X-ray diffraction stick pattern
Compound: Sm5CdAg4
Radiation: Cu Ka
Structure: DFT lattice parameters and positions (PBE)

The 12 most intense peaks (2θ = 10–90°), sorted by position:
hkl  2θ (°)  I/Imax
0 0 5  23.78  7
1 0 0  23.89  15
1 1 0  33.99  1000
0 0 10  48.68  58
2 0 0  48.91  118
2 1 0  55.11  8
1 1 10  60.73  118
2 1 5  60.88  240
2 0 10  71.48  72
2 2 0  71.67  37
1 0 15  81.37  49
3 1 0  81.75  103

Atomic structure:
Lattice parameters (Å, degrees): 3.7245 3.7245 18.7065 90.00 90.00 90.00
Positions (direct):
Sm1 0.0000 0.0000 0.0000
Sm2 0.0000 0.0000 0.1978
Sm3 0.0000 0.0000 0.3953
Sm4 0.0000 0.0000 0.6047
Sm5 0.0000 0.0000 0.8022
Cd1 0.5000 0.5000 0.5000
Ag1 0.5000 0.5000 0.0983
Ag2 0.5000 0.5000 0.2971
Ag3 0.5000 0.5000 0.7029
Ag4 0.5000 0.5000 0.9017